Entry 1:
For Al4FeO7, a cell relaxed with PBE+U gives the theoretical PXRD pattern in this record (Cu Kα X-rays).

Principal peaks in the range 10° ≤ 2θ ≤ 80°, by angle:
- 2θ = 24.12°, intensity 26.2
- 2θ = 27.80°, intensity 100.0
- 2θ = 28.37°, intensity 89.0
- 2θ = 32.90°, intensity 80.4
- 2θ = 38.60°, intensity 28.4
- 2θ = 40.26°, intensity 49.7
- 2θ = 41.25°, intensity 22.7
- 2θ = 60.53°, intensity 32.8

Cell: 7.3810 7.3810 6.0155 Å, 90.00 90.00 60.39°
Positions (direct):
1 Al 0.0521 0.7191 0.7500
2 Al 0.2809 0.9479 0.7500
3 Al 0.3066 0.3066 0.0000
4 Al 0.3066 0.3066 0.5000
5 Al 0.6934 0.6934 0.0000
6 Al 0.6934 0.6934 0.5000
7 Al 0.7191 0.0521 0.2500
8 Al 0.9479 0.2809 0.2500
9 Fe 0.2410 0.7590 0.2500
10 Fe 0.7590 0.2410 0.7500
11 O 0.0320 0.9680 0.7500
12 O 0.1867 0.5796 0.5109
13 O 0.1867 0.5796 0.9891
14 O 0.2076 0.2495 0.2500
15 O 0.2495 0.2076 0.7500
16 O 0.4204 0.8133 0.5109
17 O 0.4204 0.8133 0.9891
18 O 0.5796 0.1867 0.0109
19 O 0.5796 0.1867 0.4891
20 O 0.7505 0.7924 0.2500
21 O 0.7924 0.7505 0.7500
22 O 0.8133 0.4204 0.0109
23 O 0.8133 0.4204 0.4891
24 O 0.9680 0.0320 0.2500



Entry 2:
For Sc2AlFeO6, a cell relaxed with PBE+U gives the theoretical PXRD pattern in this record (Cu Kα X-rays).

Principal peaks in the range 10° ≤ 2θ ≤ 80°, by angle:
- 2θ = 23.98°, intensity 35.3
- 2θ = 33.40°, intensity 100.0
- 2θ = 34.92°, intensity 74.6
- 2θ = 40.46°, intensity 39.4
- 2θ = 49.09°, intensity 54.4
- 2θ = 54.31°, intensity 50.8
- 2θ = 61.65°, intensity 38.6
- 2θ = 62.62°, intensity 39.1

Cell: 5.3760 5.3760 5.3760 Å, 57.11 57.11 57.11°
Positions (direct):
1 Sc 0.0000 0.0000 0.0000
2 Sc 0.4970 0.4970 0.4970
3 Al 0.2136 0.2136 0.2136
4 Fe 0.7103 0.7103 0.7103
5 O 0.0802 0.8434 0.4289
6 O 0.3359 0.5727 0.9374
7 O 0.4289 0.0802 0.8434
8 O 0.5727 0.9374 0.3359
9 O 0.8434 0.4289 0.0802
10 O 0.9374 0.3359 0.5727



Entry 3:
For Sr2Al3FeO8, a cell relaxed with PBE+U gives the theoretical PXRD pattern in this record (Cu Kα X-rays).

Principal peaks in the range 10° ≤ 2θ ≤ 80°, by angle:
- 2θ = 19.47°, intensity 32.2
- 2θ = 27.73°, intensity 100.0
- 2θ = 28.81°, intensity 94.2
- 2θ = 29.46°, intensity 73.6
- 2θ = 33.88°, intensity 35.5
- 2θ = 34.40°, intensity 84.9
- 2θ = 45.60°, intensity 23.5
- 2θ = 46.22°, intensity 30.0

Cell: 5.3036 8.9879 8.5794 Å, 90.00 93.93 90.00°
Positions (direct):
1 Sr 0.1955 0.0000 0.0279
2 Sr 0.2550 0.9899 0.4824
3 Sr 0.7450 0.4899 0.5176
4 Sr 0.8045 0.5000 0.9721
5 Al 0.1970 0.3235 0.3238
6 Al 0.2136 0.3156 0.7086
7 Al 0.2793 0.6491 0.2059
8 Al 0.7207 0.1491 0.7941
9 Al 0.7864 0.8156 0.2914
10 Al 0.8030 0.8235 0.6762
11 Fe 0.2907 0.6598 0.8102
12 Fe 0.7093 0.1598 0.1898
13 O 0.0487 0.1924 0.8263
14 O 0.0905 0.4969 0.7357
15 O 0.0913 0.8348 0.7952
16 O 0.1105 0.2710 0.5127
17 O 0.3488 0.4985 0.3353
18 O 0.3676 0.5955 0.0179
19 O 0.3892 0.1732 0.2701
20 O 0.4501 0.8131 0.2663
21 O 0.5499 0.3131 0.7337
22 O 0.6108 0.6732 0.7299
23 O 0.6324 0.0955 0.9821
24 O 0.6512 0.9985 0.6647
25 O 0.8895 0.7710 0.4873
26 O 0.9087 0.3348 0.2048
27 O 0.9095 0.9969 0.2643
28 O 0.9513 0.6924 0.1737



Entry 4:
For Sr2AlTlFe2O7, a cell relaxed with PBE+U gives the theoretical PXRD pattern in this record (Cu Kα X-rays).

Principal peaks in the range 10° ≤ 2θ ≤ 80°, by angle:
- 2θ = 27.48°, intensity 34.0
- 2θ = 31.49°, intensity 100.0
- 2θ = 33.97°, intensity 50.2
- 2θ = 34.10°, intensity 22.9
- 2θ = 34.67°, intensity 22.4
- 2θ = 48.80°, intensity 27.3
- 2θ = 54.43°, intensity 23.1
- 2θ = 59.24°, intensity 33.3

Cell: 3.7326 3.7326 13.1445 Å, 90.00 90.00 90.00°
Positions (direct):
1 Sr 0.0000 0.0000 0.1864
2 Sr 0.0000 0.0000 0.8136
3 Al 0.0000 0.0000 0.5000
4 Tl 0.5000 0.5000 0.0000
5 Fe 0.5000 0.5000 0.3607
6 Fe 0.5000 0.5000 0.6393
7 O 0.0000 0.0000 0.0000
8 O 0.0000 0.5000 0.4072
9 O 0.0000 0.5000 0.5928
10 O 0.5000 0.0000 0.4072
11 O 0.5000 0.0000 0.5928
12 O 0.5000 0.5000 0.2138
13 O 0.5000 0.5000 0.7862



Entry 5:
For TmAlFeO4, a cell relaxed with PBE+U gives the theoretical PXRD pattern in this record (Cu Kα X-rays).

Principal peaks in the range 10° ≤ 2θ ≤ 80°, by angle:
- 2θ = 17.92°, intensity 100.0
- 2θ = 33.58°, intensity 72.2
- 2θ = 34.52°, intensity 47.3
- 2θ = 35.13°, intensity 23.6
- 2θ = 36.30°, intensity 21.8
- 2θ = 41.29°, intensity 40.5
- 2θ = 45.13°, intensity 22.1
- 2θ = 60.25°, intensity 35.3

Cell: 6.1479 6.1479 6.1479 Å, 121.14 117.94 90.82°
Positions (direct):
1 Tm 0.0000 0.0000 0.0000
2 Tm 0.5000 0.0000 0.5000
3 Al 0.3746 0.6246 0.7500
4 Al 0.6254 0.3754 0.2500
5 Fe 0.0000 0.0000 0.5000
6 Fe 0.0000 0.5000 0.0000
7 O 0.2502 0.7416 0.5086
8 O 0.2510 0.2577 0.5067
9 O 0.2510 0.7443 0.9933
10 O 0.2670 0.2584 0.0086
11 O 0.7330 0.7416 0.9914
12 O 0.7490 0.2557 0.0067
13 O 0.7490 0.7423 0.4933
14 O 0.7498 0.2584 0.4914